(1)
For La3Ce2ScTe6, a cell relaxed with PBE gives the computed powder X-ray diffraction pattern in this record (Cu Kα (λ = 1.5418 Å)).

Largest 12 diffraction maxima, sorted by position, 10° ≤ 2θ ≤ 90°:
28.13°, d = 3.172 Å, I = 100.0, (1 1 -2)
39.89°, d = 2.260 Å, I = 12.6, (2 0 -4)
40.13°, d = 2.247 Å, I = 24.8, (7 1 -2)
40.29°, d = 2.238 Å, I = 24.7, (5 1 2)
40.46°, d = 2.229 Å, I = 12.7, (0 2 0)
49.41°, d = 1.845 Å, I = 6.5, (8 0 -4)
49.68°, d = 1.835 Å, I = 6.7, (4 0 4)
50.02°, d = 1.823 Å, I = 13.3, (6 2 0)
58.12°, d = 1.587 Å, I = 8.6, (2 2 -4)
65.74°, d = 1.421 Å, I = 10.7, (8 2 -4)
65.96°, d = 1.416 Å, I = 10.8, (4 2 4)
73.33°, d = 1.291 Å, I = 8.0, (7 3 -2)

Atomic structure:
```
data_La3Ce2ScTe6
_cell_length_a 19.5662
_cell_length_b 4.4590
_cell_length_c 9.0397
_cell_angle_alpha 90.00
_cell_angle_beta 103.66
_cell_angle_gamma 90.00
_space_group_name_H-M_alt 'C 1 2/m 1'
_space_group_IT_number 12
loop_
_space_group_symop_operation_xyz
'x,y,z'
'-x,-y,-z'
'-x,y,-z'
'x,-y,z'
'x+1/2,y+1/2,z'
'-x+1/2,-y+1/2,-z'
'-x+1/2,y+1/2,-z'
'x+1/2,-y+1/2,z'
loop_
_atom_site_label
_atom_site_type_symbol
_atom_site_fract_x
_atom_site_fract_y
_atom_site_fract_z
La1 La 0.0000 0.0000 0.0000
La2 La 0.1710 0.5000 0.3356
Ce1 Ce 0.1663 0.5000 0.8340
Sc1 Sc 0.0000 0.0000 0.5000
Te1 Te 0.0009 0.5000 0.2707
Te2 Te 0.1571 0.0000 0.5824
Te3 Te 0.1678 0.0000 0.0809
```

=====

(2)
For La4CeSe7, a cell relaxed with PBE gives the computed powder X-ray diffraction pattern in this record (Cu Kα (λ = 1.5418 Å)).

Largest 12 diffraction maxima, sorted by position, 10° ≤ 2θ ≤ 90°:
21.95°, d = 4.049 Å, I = 78.2, (2 0 2)
22.38°, d = 3.972 Å, I = 58.9, (2 0 -3)
28.39°, d = 3.144 Å, I = 38.4, (2 0 3)
28.53°, d = 3.128 Å, I = 74.5, (3 1 -1)
28.89°, d = 3.090 Å, I = 77.8, (2 0 -4)
30.05°, d = 2.974 Å, I = 100.0, (3 1 -2)
31.12°, d = 2.874 Å, I = 72.4, (3 1 1)
33.22°, d = 2.697 Å, I = 47.9, (3 1 -3)
35.69°, d = 2.516 Å, I = 40.7, (1 1 -4)
38.53°, d = 2.337 Å, I = 50.5, (1 1 4)
42.86°, d = 2.110 Å, I = 42.9, (6 0 -4)
43.14°, d = 2.097 Å, I = 74.6, (0 2 0)

Atomic structure:
```
data_La4CeSe7
_cell_length_a 14.1937
_cell_length_b 4.1930
_cell_length_c 12.5917
_cell_angle_alpha 90.00
_cell_angle_beta 105.19
_cell_angle_gamma 90.00
_space_group_name_H-M_alt 'C 1 m 1'
_space_group_IT_number 8
loop_
_space_group_symop_operation_xyz
'x,y,z'
'x,-y,z'
'x+1/2,y+1/2,z'
'x+1/2,-y+1/2,z'
loop_
_atom_site_label
_atom_site_type_symbol
_atom_site_fract_x
_atom_site_fract_y
_atom_site_fract_z
La1 La 0.0000 0.0000 0.0000
La2 La 0.0859 0.5000 0.3856
La3 La 0.1889 0.0000 0.7671
La4 La 0.3869 0.5000 0.5751
Ce1 Ce 0.2735 0.5000 0.1538
Se1 Se 0.0468 0.5000 0.6266
Se2 Se 0.1264 0.5000 0.9282
Se3 Se 0.1513 0.0000 0.2257
Se4 Se 0.2273 0.0000 0.5255
Se5 Se 0.3445 0.5000 0.7916
Se6 Se 0.3843 0.0000 0.0762
Se7 Se 0.4293 0.5000 0.3583
```

=====

(3)
For La4Ce3Se8, a cell relaxed with PBE gives the computed powder X-ray diffraction pattern in this record (Cu Kα (λ = 1.5418 Å)).

Largest 12 diffraction maxima, sorted by position, 10° ≤ 2θ ≤ 90°:
12.71°, d = 6.965 Å, I = 6.4, (1 1 0)
25.58°, d = 3.482 Å, I = 7.8, (2 2 -2)
29.63°, d = 3.015 Å, I = 100.0, (0 4 0)
42.35°, d = 2.134 Å, I = 37.4, (4 0 0)
42.43°, d = 2.130 Å, I = 37.2, (4 4 -2)
52.48°, d = 1.744 Å, I = 13.3, (4 4 0)
52.65°, d = 1.738 Å, I = 13.1, (4 4 -4)
61.50°, d = 1.508 Å, I = 12.3, (0 8 0)
69.59°, d = 1.351 Å, I = 5.6, (4 0 2)
69.73°, d = 1.349 Å, I = 22.4, (0 8 2)
77.43°, d = 1.233 Å, I = 12.6, (4 8 0)
77.66°, d = 1.230 Å, I = 12.4, (8 4 -6)

Atomic structure:
```
data_La4Ce3Se8
_cell_length_a 12.0575
_cell_length_b 12.0631
_cell_length_c 8.5093
_cell_angle_alpha 90.00
_cell_angle_beta 134.85
_cell_angle_gamma 90.00
_space_group_name_H-M_alt 'C 1 2/m 1'
_space_group_IT_number 12
loop_
_space_group_symop_operation_xyz
'x,y,z'
'-x,-y,-z'
'-x,y,-z'
'x,-y,z'
'x+1/2,y+1/2,z'
'-x+1/2,-y+1/2,-z'
'-x+1/2,y+1/2,-z'
'x+1/2,-y+1/2,z'
loop_
_atom_site_label
_atom_site_type_symbol
_atom_site_fract_x
_atom_site_fract_y
_atom_site_fract_z
La1 La 0.0000 0.0000 0.0000
La2 La 0.0000 0.5000 0.5000
La3 La 0.2500 0.2500 0.0000
Ce1 Ce 0.0000 0.0000 0.5000
Ce2 Ce 0.2500 0.2500 0.5000
Se1 Se 0.0000 0.2480 0.5000
Se2 Se 0.0000 0.2525 0.0000
Se3 Se 0.2494 0.5000 0.4946
Se4 Se 0.2504 0.0000 0.9955
```

=====

(4)
For La2CeSe3, a cell relaxed with PBE gives the computed powder X-ray diffraction pattern in this record (Cu Kα (λ = 1.5418 Å)).

Largest 12 diffraction maxima, sorted by position, 10° ≤ 2θ ≤ 90°:
25.48°, d = 3.496 Å, I = 13.4, (1 0 2)
29.50°, d = 3.028 Å, I = 100.0, (2 0 0)
42.19°, d = 2.142 Å, I = 62.4, (2 3 2)
42.30°, d = 2.136 Å, I = 12.4, (0 6 0)
52.27°, d = 1.750 Å, I = 13.3, (2 0 4)
52.41°, d = 1.746 Å, I = 13.2, (2 6 0)
61.23°, d = 1.514 Å, I = 12.3, (4 0 0)
69.31°, d = 1.356 Å, I = 5.6, (0 3 6)
69.40°, d = 1.354 Å, I = 22.5, (4 3 2)
69.55°, d = 1.352 Å, I = 5.6, (0 9 2)
77.08°, d = 1.237 Å, I = 12.5, (4 0 4)
77.27°, d = 1.235 Å, I = 12.4, (4 6 0)

Atomic structure:
```
data_La2CeSe3
_cell_length_a 6.0585
_cell_length_b 12.8187
_cell_length_c 8.5776
_cell_angle_alpha 90.00
_cell_angle_beta 90.00
_cell_angle_gamma 90.00
_space_group_name_H-M_alt 'P 1 21/c 1'
_space_group_IT_number 14
loop_
_space_group_symop_operation_xyz
'x,y,z'
'-x,-y,-z'
'-x,y+1/2,-z+1/2'
'x,-y+1/2,z+1/2'
loop_
_atom_site_label
_atom_site_type_symbol
_atom_site_fract_x
_atom_site_fract_y
_atom_site_fract_z
La1 La 0.2494 0.2476 0.3751
La2 La 0.2504 0.5829 0.8740
Ce1 Ce 0.2505 0.5851 0.3763
Se1 Se 0.2496 0.0811 0.6298
Se2 Se 0.2495 0.0818 0.1205
Se3 Se 0.2507 0.7495 0.1252
```

=====

(5)
For La3TbCe2Se6, a cell relaxed with PBE gives the computed powder X-ray diffraction pattern in this record (Cu Kα (λ = 1.5418 Å)).

Largest 12 diffraction maxima, sorted by position, 10° ≤ 2θ ≤ 90°:
25.76°, d = 3.459 Å, I = 11.0, (2 0 0)
29.79°, d = 2.999 Å, I = 100.0, (1 3 1)
42.55°, d = 2.125 Å, I = 37.2, (2 0 2)
42.71°, d = 2.117 Å, I = 37.2, (0 6 0)
52.66°, d = 1.738 Å, I = 6.6, (0 0 4)
52.94°, d = 1.729 Å, I = 19.7, (4 0 0)
61.87°, d = 1.500 Å, I = 12.1, (2 6 2)
70.01°, d = 1.344 Å, I = 11.0, (0 6 4)
70.28°, d = 1.339 Å, I = 16.7, (4 6 0)
77.75°, d = 1.228 Å, I = 6.1, (1 3 5)
78.05°, d = 1.224 Å, I = 8.3, (4 6 -4)
78.21°, d = 1.222 Å, I = 10.3, (6 0 -2)

Atomic structure:
```
data_La3TbCe2Se6
_cell_length_a 7.3282
_cell_length_b 12.7091
_cell_length_c 7.3731
_cell_angle_alpha 90.00
_cell_angle_beta 109.44
_cell_angle_gamma 90.00
_space_group_name_H-M_alt 'C 1 2/m 1'
_space_group_IT_number 12
loop_
_space_group_symop_operation_xyz
'x,y,z'
'-x,-y,-z'
'-x,y,-z'
'x,-y,z'
'x+1/2,y+1/2,z'
'-x+1/2,-y+1/2,-z'
'-x+1/2,y+1/2,-z'
'x+1/2,-y+1/2,z'
loop_
_atom_site_label
_atom_site_type_symbol
_atom_site_fract_x
_atom_site_fract_y
_atom_site_fract_z
La1 La 0.0000 0.0000 0.0000
La2 La 0.0000 0.3321 0.0000
Tb1 Tb 0.0000 0.5000 0.5000
Ce1 Ce 0.0000 0.1662 0.5000
Se1 Se 0.2435 0.3358 0.7389
Se2 Se 0.2478 0.5000 0.2594
```

=====

(6)
For LaTb2CeSe4, a cell relaxed with PBE gives the computed powder X-ray diffraction pattern in this record (Cu Kα (λ = 1.5418 Å)).

Largest 12 diffraction maxima, sorted by position, 10° ≤ 2θ ≤ 90°:
26.28°, d = 3.391 Å, I = 8.4, (1 1 -1)
30.25°, d = 2.954 Å, I = 100.0, (1 1 1)
42.92°, d = 2.107 Å, I = 12.6, (2 0 2)
43.12°, d = 2.098 Å, I = 24.8, (1 1 -3)
43.49°, d = 2.081 Å, I = 24.6, (3 1 -1)
43.72°, d = 2.070 Å, I = 12.1, (0 2 0)
53.07°, d = 1.726 Å, I = 6.6, (0 0 4)
53.72°, d = 1.706 Å, I = 6.6, (4 0 0)
54.08°, d = 1.696 Å, I = 12.9, (2 2 -2)
62.92°, d = 1.477 Å, I = 12.0, (2 2 2)
71.11°, d = 1.326 Å, I = 10.9, (0 2 4)
71.66°, d = 1.317 Å, I = 11.0, (4 2 0)

Atomic structure:
```
data_LaTb2CeSe4
_cell_length_a 7.2196
_cell_length_b 4.1409
_cell_length_c 7.3006
_cell_angle_alpha 90.00
_cell_angle_beta 109.02
_cell_angle_gamma 90.00
_space_group_name_H-M_alt 'P 1 2/m 1'
_space_group_IT_number 10
loop_
_space_group_symop_operation_xyz
'x,y,z'
'-x,-y,-z'
'-x,y,-z'
'x,-y,z'
loop_
_atom_site_label
_atom_site_type_symbol
_atom_site_fract_x
_atom_site_fract_y
_atom_site_fract_z
La1 La 0.0000 0.0000 0.0000
Tb1 Tb 0.0000 0.5000 0.5000
Tb2 Tb 0.5000 0.0000 0.5000
Ce1 Ce 0.5000 0.5000 0.0000
Se1 Se 0.2487 0.0000 0.7376
Se2 Se 0.2579 0.5000 0.2647
```